For ThCo6B3, a structure optimized by DFT (PBE) gives the theoretical XRD peak list in this record (Cu Kα X-rays).

The 10 most intense peaks (10° ≤ 2θ ≤ 90°), sorted by position:
2θ/deg, I (rel.)
18.13, 29
21.02, 30
23.52, 49
31.71, 59
36.76, 69
39.89, 63
41.37, 100
42.79, 41
48.08, 29
51.82, 57

Atomic structure:
```
data_ThCo6B3
_chemical_formula_sum 'Th1 Co6 B3'
_cell_length_a 5.7089
_cell_length_b 5.7089
_cell_length_c 5.7089
_cell_angle_alpha 53.03
_cell_angle_beta 53.03
_cell_angle_gamma 53.03
_space_group_name_H-M_alt 'P 1'
_space_group_IT_number 1
_space_group_name_Hall 'P 1'
loop_
_atom_site_label
_atom_site_type_symbol
_atom_site_fract_x
_atom_site_fract_y
_atom_site_fract_z
Th1 Th 0.0000 0.0000 0.0000
Co1 Co 0.1358 0.5764 0.6842
Co2 Co 0.4382 0.9397 0.4474
Co3 Co 0.4474 0.4382 0.9397
Co4 Co 0.5764 0.6842 0.1358
Co5 Co 0.6842 0.1358 0.5764
Co6 Co 0.9397 0.4474 0.4382
B1 B 0.1793 0.1793 0.1793
B2 B 0.3735 0.3735 0.3735
B3 B 0.7084 0.7084 0.7084
```

For V6CoRh, a structure optimized by DFT (PBE) gives the theoretical XRD peak list in this record (Cu Kα X-rays).

The 10 most intense peaks (10° ≤ 2θ ≤ 90°), sorted by position:
2θ/deg, I (rel.)
18.80, 7
26.71, 15
32.87, 4
38.14, 48
42.85, 77
47.17, 100
62.20, 3
72.17, 15
75.35, 45
81.60, 13

Atomic structure:
```
data_V6CoRh
_chemical_formula_sum 'V6 Co1 Rh1'
_cell_length_a 4.7195
_cell_length_b 4.7195
_cell_length_c 4.7195
_cell_angle_alpha 90.00
_cell_angle_beta 90.00
_cell_angle_gamma 90.00
_space_group_name_H-M_alt 'P 1'
_space_group_IT_number 1
_space_group_name_Hall 'P 1'
loop_
_atom_site_label
_atom_site_type_symbol
_atom_site_fract_x
_atom_site_fract_y
_atom_site_fract_z
V1 V 0.0000 0.2458 0.5000
V2 V 0.0000 0.7542 0.5000
V3 V 0.2458 0.5000 0.0000
V4 V 0.5000 0.0000 0.2458
V5 V 0.5000 0.0000 0.7542
V6 V 0.7542 0.5000 0.0000
Co1 Co 0.0000 0.0000 0.0000
Rh1 Rh 0.5000 0.5000 0.5000
```

For LiCo2Ni, a structure optimized by DFT (PBE) gives the theoretical XRD peak list in this record (Cu Kα X-rays).

The 10 most intense peaks (10° ≤ 2θ ≤ 90°), sorted by position:
2θ/deg, I (rel.)
20.22, 42
21.64, 33
27.62, 22
44.01, 51
44.11, 51
44.64, 100
49.71, 35
52.64, 59
75.24, 18
75.39, 18

Atomic structure:
```
data_LiCo2Ni
_chemical_formula_sum 'Li1 Co2 Ni1'
_cell_length_a 4.3208
_cell_length_b 4.3208
_cell_length_c 4.4334
_cell_angle_alpha 97.59
_cell_angle_beta 97.59
_cell_angle_gamma 32.76
_space_group_name_H-M_alt 'P 1'
_space_group_IT_number 1
_space_group_name_Hall 'P 1'
loop_
_atom_site_label
_atom_site_type_symbol
_atom_site_fract_x
_atom_site_fract_y
_atom_site_fract_z
Li1 Li 0.0000 0.0000 0.0000
Co1 Co 0.5061 0.5061 0.4988
Co2 Co 0.7596 0.7596 0.2788
Ni1 Ni 0.2443 0.2443 0.7673
```

For In6SnBi5, a structure optimized by DFT (PBE) gives the theoretical XRD peak list in this record (Cu Kα X-rays).

The 10 most intense peaks (10° ≤ 2θ ≤ 90°), sorted by position:
2θ/deg, I (rel.)
16.61, 13
31.44, 52
31.56, 51
31.81, 100
33.58, 43
35.53, 37
40.72, 26
49.69, 29
59.12, 17
61.40, 15

Atomic structure:
```
data_In6SnBi5
_chemical_formula_sum 'In6 Sn1 Bi5'
_cell_length_a 5.0536
_cell_length_b 8.8290
_cell_length_c 8.9410
_cell_angle_alpha 73.86
_cell_angle_beta 73.81
_cell_angle_gamma 73.54
_space_group_name_H-M_alt 'P 1'
_space_group_IT_number 1
_space_group_name_Hall 'P 1'
loop_
_atom_site_label
_atom_site_type_symbol
_atom_site_fract_x
_atom_site_fract_y
_atom_site_fract_z
In1 In 0.0014 0.2490 0.2511
In2 In 0.3330 0.9182 0.9134
In3 In 0.3350 0.4128 0.4184
In4 In 0.6650 0.5872 0.5816
In5 In 0.6670 0.0818 0.0866
In6 In 0.9986 0.7510 0.7489
Sn1 Sn 0.5000 0.0000 0.5000
Bi1 Bi 0.1646 0.8349 0.3358
Bi2 Bi 0.1657 0.3363 0.8315
Bi3 Bi 0.5000 0.5000 0.0000
Bi4 Bi 0.8343 0.6637 0.1685
Bi5 Bi 0.8354 0.1651 0.6642
```